Simulated powder XRD pattern
Compound: Ca2FeH6
Radiation: copper Kα
Structure: a structure optimized by DFT (GGA-PBE)
Intensities are scaled so that the largest is 100.

Most intense lines, 15 to 90 degrees two-theta, in order of rising 2θ:
- 2θ = 21.98°, d 4.044, intensity 47
- 2θ = 36.27°, d 2.477, intensity 100
- 2θ = 42.82°, d 2.112, intensity 21
- 2θ = 52.24°, d 1.751, intensity 18
- 2θ = 57.33°, d 1.607, intensity 8
- 2θ = 65.25°, d 1.430, intensity 31
- 2θ = 77.01°, d 1.238, intensity 10
- 2θ = 88.22°, d 1.108, intensity 13

Structure:
```
Ca2FeH6
1.0
0.000 3.502 3.502
3.502 0.000 3.502
3.502 3.502 0.000
Ca Fe H
2 1 6
direct
0.250 0.250 0.250
0.750 0.750 0.750
0.000 0.000 0.000
0.227 0.227 0.773
0.227 0.773 0.227
0.227 0.773 0.773
0.773 0.227 0.227
0.773 0.227 0.773
0.773 0.773 0.227
```